# 1
The following is a calculated XRD peak list of Be. It was derived from a crystal structure in the Materials Project, relaxed with GGA-PBE, using Cu Kα (λ = 1.5418 Å).
Neutral-atom scattering factors, no anomalous dispersion.

Structural model:
Cell: 2.5002 2.5002 2.5002 Å, 90.00 90.00 90.00°
Space group Im-3m (No. 229)
Unique sites:
Be1 0.0000 0.0000 0.0000 [2 per cell]

Most intense lines, 2θ from 5° to 70°, in order of rising 2θ:
d [Å], 2θ (°), I/Imax
1.768, 51.7, 100

***

# 2
The following is a calculated XRD peak list of Be. It was derived from a crystal structure in the Materials Project, relaxed with GGA-PBE, using Cu Kα (λ = 1.5418 Å).
Neutral-atom scattering factors, no anomalous dispersion.

Structural model:
Cell: 2.2598 2.2598 3.5699 Å, 90.00 90.00 120.00°
Space group P6_3/mmc (No. 194)
Unique sites:
Be1 0.3333 0.6667 0.2500 [2 per cell]

Most intense lines, 2θ from 5° to 70°, in order of rising 2θ:
d [Å], 2θ (°), I/Imax
1.957, 46.4, 26
1.785, 51.2, 25
1.716, 53.4, 100

***

# 3
The following is a calculated XRD peak list of Be. It was derived from a crystal structure in the Materials Project, relaxed with GGA-PBE, using Cu Kα (λ = 1.5418 Å).
Neutral-atom scattering factors, no anomalous dispersion.

Structural model:
Cell: 3.7468 3.7468 2.2813 Å, 90.00 90.00 90.00°
Space group P4_2/mnm (No. 136)
Unique sites:
Be1 0.2026 0.2026 0.0000 [4 per cell]

Most intense lines, 2θ from 5° to 70°, in order of rising 2θ:
d [Å], 2θ (°), I/Imax
2.649, 33.8, 2
1.949, 46.6, 15
1.873, 48.6, 53
1.729, 53.0, 100
1.676, 54.8, 31
1.350, 69.6, 7

***

# 4
The following is a calculated XRD peak list of BeInBi. It was derived from a crystal structure in the Materials Project, relaxed with GGA-PBE, using Cu Kα (λ = 1.5418 Å).
Neutral-atom scattering factors, no anomalous dispersion.

Structural model:
Cell: 7.0194 7.0194 7.0194 Å, 90.00 90.00 90.00°
Space group F-43m (No. 216)
Unique sites:
Be1 0.0000 0.0000 0.0000 [4 per cell]
In1 0.0000 0.0000 0.5000 [4 per cell]
Bi1 0.2500 0.2500 0.2500 [4 per cell]

Most intense lines, 2θ from 5° to 70°, in order of rising 2θ:
d [Å], 2θ (°), I/Imax
4.053, 21.9, 100
3.510, 25.4, 6
2.482, 36.2, 85
2.116, 42.7, 55
2.026, 44.7, 2
1.755, 52.1, 15
1.610, 57.2, 23
1.570, 58.8, 3
1.433, 65.1, 31
1.351, 69.6, 18

***

# 5
The following is a calculated XRD peak list of BeBi12O20. It was derived from a crystal structure in the Materials Project, relaxed with GGA-PBE, using Cu Kα (λ = 1.5418 Å).
Neutral-atom scattering factors, no anomalous dispersion.

Structural model:
Cell: 10.1147 10.1147 10.1147 Å, 90.00 90.00 90.00°
Space group I23 (No. 197)
Unique sites:
Be1 0.0000 0.0000 0.0000 [2 per cell]
Bi1 0.0099 0.3140 0.8270 [24 per cell]
O1 0.0104 0.2496 0.3704 [24 per cell]
O2 0.0973 0.0973 0.0973 [8 per cell]
O3 0.2002 0.2002 0.7998 [8 per cell]

Most intense lines, 2θ from 5° to 70°, in order of rising 2θ:
d [Å], 2θ (°), I/Imax
3.576, 24.9, 27
3.199, 27.9, 100
2.920, 30.6, 20
2.703, 33.1, 66
2.262, 39.9, 16
2.156, 41.9, 14
1.735, 52.8, 48
1.686, 54.4, 17
1.641, 56.0, 27
1.491, 62.3, 20

***

# 6
The following is a calculated XRD peak list of BeBiOs2. It was derived from a crystal structure in the Materials Project, relaxed with GGA-PBE, using Cu Kα (λ = 1.5418 Å).
Neutral-atom scattering factors, no anomalous dispersion.

Structural model:
Cell: 6.3742 6.3742 6.3742 Å, 90.00 90.00 90.00°
Space group F-43m (No. 216)
Unique sites:
Be1 0.0000 0.0000 0.0000 [4 per cell]
Bi1 0.2500 0.2500 0.7500 [4 per cell]
Os1 0.0000 0.0000 0.5000 [4 per cell]
Os2 0.2500 0.2500 0.2500 [4 per cell]

Most intense lines, 2θ from 5° to 70°, in order of rising 2θ:
d [Å], 2θ (°), I/Imax
3.680, 24.2, 23
3.187, 28.0, 15
2.254, 40.0, 100
1.922, 47.3, 12
1.840, 49.5, 4
1.594, 57.9, 17
1.462, 63.6, 5
1.425, 65.5, 6

***

# 7
The following is a calculated XRD peak list of Li3BePCO7. It was derived from a crystal structure in the Materials Project, relaxed with GGA-PBE, using Cu Kα (λ = 1.5418 Å).
Neutral-atom scattering factors, no anomalous dispersion.

Structural model:
Cell: 4.7897 6.8446 8.1549 Å, 90.00 90.13 90.00°
Space group P2_1 (No. 4)
Unique sites:
Li1 0.0433 0.0000 0.0393 [2 per cell]
Li2 0.0769 0.8333 0.6814 [2 per cell]
Li3 0.4478 0.1262 0.4796 [2 per cell]
Be1 0.4837 0.2957 0.8009 [2 per cell]
P1 0.4596 0.3654 0.1538 [2 per cell]
C1 0.0054 0.8404 0.3508 [2 per cell]
O1 0.1177 0.2964 0.5142 [2 per cell]
O2 0.1398 0.3643 0.7815 [2 per cell]
O3 0.1426 0.3442 0.1316 [2 per cell]
O4 0.2786 0.8654 0.3495 [2 per cell]
O5 0.4039 0.8615 0.0215 [2 per cell]
O6 0.4173 0.7092 0.7328 [2 per cell]
O7 0.4554 0.0638 0.7630 [2 per cell]

Most intense lines, 2θ from 5° to 70°, in order of rising 2θ:
d [Å], 2θ (°), I/Imax
8.155, 10.8, 16
4.790, 18.5, 25
4.129, 21.5, 33
4.077, 21.8, 19
3.537, 25.2, 57
3.503, 25.4, 54
3.422, 26.0, 100
2.634, 34.0, 38
2.260, 39.9, 15
2.235, 40.3, 40